Calculated PXRD pattern
Compound: La2TeMo6O44
Radiation: Cu Ka
Structure: a crystal structure in the Materials Project, relaxed with PBE+U

Atomic structure:
```
data_La2TeMo6O44
_chemical_formula_sum 'La2 Te1 Mo6 O44'
_space_group_name_H-M_alt 'P -1'
_space_group_IT_number 2
_cell_length_a 8.679
_cell_length_b 9.854
_cell_length_c 12.015
_cell_angle_alpha 77.87
_cell_angle_beta 83.13
_cell_angle_gamma 71.27
loop_
_space_group_symop_operation_xyz
'x,y,z'
'-x,-y,-z'
loop_
_atom_site_label
_atom_site_fract_x
_atom_site_fract_y
_atom_site_fract_z
La1 0.237 0.228 0.216
Te1 0.000 0.000 0.000
Mo1 0.081 0.101 0.710
Mo2 0.239 0.660 0.161
Mo3 0.298 0.766 0.882
O1 0.007 0.540 0.954
O2 0.023 0.803 0.721
O3 0.024 0.723 0.232
O4 0.039 0.885 0.399
O5 0.073 0.793 0.997
O6 0.124 0.358 0.372
O7 0.126 0.869 0.750
O8 0.142 0.941 0.141
O9 0.151 0.503 0.483
O10 0.179 0.006 0.886
O11 0.208 0.379 0.454
O12 0.237 0.033 0.147
O13 0.256 0.479 0.150
O14 0.264 0.116 0.646
O15 0.300 0.270 0.940
O16 0.300 0.602 0.854
O17 0.351 0.017 0.411
O18 0.356 0.647 0.269
O19 0.366 0.888 0.447
O20 0.378 0.203 0.865
O21 0.378 0.714 0.031
O22 0.471 0.808 0.803
```

Peak list (12 most intense, 10 to 90 degrees two-theta, low angle first)
h k l  2θ (°)  d_spacing  intensity
1 0 0  10.8  8.206  57
1 1 0  12.1  7.327  23
1 1 1  12.9  6.847  100
2 1 1  21.1  4.203  22
2 0 0  21.7  4.103  28
2 2 1  24.0  3.710  39
0 2 -2  26.8  3.330  28
1 2 -2  26.9  3.311  24
2 0 -2  27.2  3.281  26
0 3 1  28.8  3.101  22
1 0 4  31.8  2.811  30
2 0 -3  32.5  2.754  29